[1]
The following is a calculated XRD peak list of Y3ErMg. It was derived from a cell relaxed with PBE, using Cu Kα (weighted mean of Kα1 and Kα2).
No peak broadening, texture or thermal motion is included.

Structure:
```
data_Y3ErMg
_chemical_formula_sum 'Y6 Er2 Mg2'
_cell_length_a 3.712
_cell_length_b 10.417
_cell_length_c 8.170
_cell_angle_alpha 90.00
_cell_angle_beta 90.00
_cell_angle_gamma 90.00
_space_group_name_H-M_alt 'P m m n'
_space_group_IT_number 59
loop_
_space_group_symop_operation_xyz
'x,y,z'
'-x,-y,-z'
'-x+1/2,-y+1/2,z'
'x+1/2,y+1/2,-z'
'x+1/2,-y,-z'
'-x+1/2,y,z'
'-x,y+1/2,-z'
'x,-y+1/2,z'
loop_
_atom_site_label
_atom_site_fract_x
_atom_site_fract_y
_atom_site_fract_z
Y1 0.250 0.004 0.232
Y2 0.250 0.750 0.558
Er1 0.250 0.750 0.943
Mg1 0.250 0.250 0.752
```

Most intense lines, 10 to 90 degrees two-theta, in order of falling intensity:
27.75 deg, d = 3.214 Å, I 100, (0 2 2); 31.56 deg, d = 2.835 Å, I 99, (1 2 1); 25.47 deg, d = 3.497 Å, I 49, (1 1 0); 34.44 deg, d = 2.604 Å, I 47, (0 4 0); 33.74 deg, d = 2.656 Å, I 46, (1 1 2); 41.11 deg, d = 2.196 Å, I 37, (1 0 3); 54.68 deg, d = 1.679 Å, I 32, (1 4 3); 57.32 deg, d = 1.607 Å, I 29, (2 2 2); 34.03 deg, d = 2.635 Å, I 28, (0 1 3); 10.83 deg, d = 8.170 Å, I 26, (0 0 1); 64.87 deg, d = 1.437 Å, I 25, (1 2 5); 35.40 deg, d = 2.536 Å, I 24, (1 3 0)

[2]
The following is a calculated XRD peak list of YEr3Mg. It was derived from a cell relaxed with PBE, using Cu Kα (weighted mean of Kα1 and Kα2).
No peak broadening, texture or thermal motion is included.

Structure:
```
data_YEr3Mg
_chemical_formula_sum 'Y2 Er6 Mg2'
_cell_length_a 3.604
_cell_length_b 6.639
_cell_length_c 12.874
_cell_angle_alpha 86.30
_cell_angle_beta 89.99
_cell_angle_gamma 74.25
_space_group_name_H-M_alt 'P -1'
_space_group_IT_number 2
loop_
_space_group_symop_operation_xyz
'x,y,z'
'-x,-y,-z'
loop_
_atom_site_label
_atom_site_fract_x
_atom_site_fract_y
_atom_site_fract_z
Y1 0.235 0.029 0.263
Er1 0.033 0.435 0.687
Er2 0.150 0.200 0.937
Er3 0.366 0.768 0.520
Mg1 0.438 0.625 0.878
```

Most intense lines, 10 to 90 degrees two-theta, in order of falling intensity:
33.03 deg, d = 2.712 Å, I 100, (-1 1 1); 33.55 deg, d = 2.671 Å, I 98, (1 1 -3); 32.17 deg, d = 2.782 Å, I 63, (0 2 -2); 30.32 deg, d = 2.948 Å, I 34, (0 1 4); 33.92 deg, d = 2.643 Å, I 23, (0 2 3); 29.04 deg, d = 3.075 Å, I 23, (1 1 2); 34.93 deg, d = 2.569 Å, I 23, (0 0 5); 53.07 deg, d = 1.726 Å, I 22, (-1 1 6); 61.28 deg, d = 1.513 Å, I 22, (2 3 -2); 57.57 deg, d = 1.601 Å, I 20, (1 4 -1); 15.10 deg, d = 5.869 Å, I 19, (0 1 1); 58.58 deg, d = 1.576 Å, I 18, (1 3 -5)

[3]
The following is a calculated XRD peak list of YErMg14. It was derived from a cell relaxed with PBE, using Cu Kα (weighted mean of Kα1 and Kα2).
No peak broadening, texture or thermal motion is included.

Structure:
```
data_YErMg14
_chemical_formula_sum 'Y1 Er1 Mg14'
_cell_length_a 6.915
_cell_length_b 6.915
_cell_length_c 7.994
_cell_angle_alpha 90.00
_cell_angle_beta 90.00
_cell_angle_gamma 90.00
_space_group_name_H-M_alt 'P 4/m m m'
_space_group_IT_number 123
_space_group_name_Hall '-P 4 2'
loop_
_atom_site_label
_atom_site_fract_x
_atom_site_fract_y
_atom_site_fract_z
Y1 0.000 0.000 0.000
Er1 0.500 0.500 0.000
Mg1 0.000 0.000 0.500
Mg2 0.000 0.500 0.000
Mg3 0.000 0.500 0.500
Mg4 0.251 0.251 0.261
Mg5 0.500 0.500 0.500
```

Most intense lines, 10 to 90 degrees two-theta, in order of falling intensity:
34.29 deg, d = 2.615 Å, I 100, (2 0 2); 36.76 deg, d = 2.445 Å, I 44, (2 2 0); 21.30 deg, d = 4.171 Å, I 37, (1 1 1); 11.07 deg, d = 7.994 Å, I 33, (0 0 1); 64.64 deg, d = 1.442 Å, I 30, (4 2 2); 18.14 deg, d = 4.889 Å, I 27, (1 1 0); 59.77 deg, d = 1.547 Å, I 22, (2 2 4); 28.12 deg, d = 3.173 Å, I 21, (2 0 1); 28.85 deg, d = 3.094 Å, I 19, (1 1 2); 52.96 deg, d = 1.729 Å, I 18, (4 0 0); 42.87 deg, d = 2.109 Å, I 16, (3 1 1); 38.49 deg, d = 2.339 Å, I 15, (1 1 3)

[4]
The following is a calculated XRD peak list of Y2Er2Mg15. It was derived from a cell relaxed with PBE, using Cu Kα (weighted mean of Kα1 and Kα2).
No peak broadening, texture or thermal motion is included.

Structure:
```
data_Y2Er2Mg15
_chemical_formula_sum 'Y6 Er6 Mg45'
_cell_length_a 10.4435
_cell_length_b 10.4435
_cell_length_c 15.2669
_cell_angle_alpha 90.00
_cell_angle_beta 90.00
_cell_angle_gamma 120.00
_space_group_name_H-M_alt 'R -3 m'
_space_group_IT_number 166
_space_group_name_Hall '-R 3 2"'
loop_
_atom_site_label
_atom_site_fract_x
_atom_site_fract_y
_atom_site_fract_z
Y1 0.0000 0.0000 0.1706
Er1 0.0000 0.0000 0.3994
Mg1 0.0000 0.2987 0.5000
Mg2 0.0000 0.5000 0.0000
Mg3 0.0095 0.5048 0.6471
```

Most intense lines, 10 to 90 degrees two-theta, in order of falling intensity:
16.98 deg, d = 5.222 Å, I 100, (1 1 0); 29.63 deg, d = 3.015 Å, I 66, (3 0 0); 11.37 deg, d = 7.781 Å, I 66, (1 0 1); 34.35 deg, d = 2.611 Å, I 63, (2 2 0); 35.47 deg, d = 2.531 Å, I 40, (2 0 5); 30.65 deg, d = 2.917 Å, I 35, (0 2 4); 35.25 deg, d = 2.546 Å, I 35, (2 1 4); 39.58 deg, d = 2.277 Å, I 32, (1 2 5); 30.91 deg, d = 2.893 Å, I 28, (0 1 5); 25.33 deg, d = 3.516 Å, I 28, (1 0 4); 62.85 deg, d = 1.479 Å, I 23, (0 3 9); 34.58 deg, d = 2.594 Å, I 22, (0 3 3)

[5]
The following is a calculated XRD peak list of YEr3Mg3. It was derived from a cell relaxed with PBE, using Cu Kα (weighted mean of Kα1 and Kα2).
No peak broadening, texture or thermal motion is included.

Structure:
```
data_YEr3Mg3
_chemical_formula_sum 'Y2 Er6 Mg6'
_cell_length_a 9.0853
_cell_length_b 9.0853
_cell_length_c 5.4628
_cell_angle_alpha 90.00
_cell_angle_beta 90.00
_cell_angle_gamma 120.00
_space_group_name_H-M_alt 'P 63/m'
_space_group_IT_number 176
_space_group_name_Hall '-P 6c'
loop_
_atom_site_label
_atom_site_fract_x
_atom_site_fract_y
_atom_site_fract_z
Y1 0.3333 0.6667 0.2500
Er1 0.0397 0.8003 0.2500
Mg1 0.0933 0.6149 0.7500
```

Most intense lines, 10 to 90 degrees two-theta, in order of falling intensity:
34.33 deg, d = 2.612 Å, I 100, (1 2 1); 11.25 deg, d = 7.868 Å, I 45, (1 0 0); 30.05 deg, d = 2.974 Å, I 28, (1 2 0); 25.50 deg, d = 3.493 Å, I 27, (1 1 1); 32.79 deg, d = 2.731 Å, I 24, (0 0 2); 59.53 deg, d = 1.553 Å, I 20, (1 2 3); 64.06 deg, d = 1.454 Å, I 20, (4 1 2); 45.07 deg, d = 2.012 Å, I 18, (1 2 2); 53.36 deg, d = 1.717 Å, I 18, (4 1 0); 65.00 deg, d = 1.435 Å, I 15, (2 4 1); 88.89 deg, d = 1.101 Å, I 12, (7 0 1); 22.60 deg, d = 3.934 Å, I 11, (2 0 0)

[6]
The following is a calculated XRD peak list of YEr3Mg7. It was derived from a cell relaxed with PBE, using Cu Kα (weighted mean of Kα1 and Kα2).
No peak broadening, texture or thermal motion is included.

Structure:
```
data_YEr3Mg7
_chemical_formula_sum 'Y2 Er6 Mg14'
_cell_length_a 10.719
_cell_length_b 10.110
_cell_length_c 6.048
_cell_angle_alpha 90.00
_cell_angle_beta 107.69
_cell_angle_gamma 90.00
_space_group_name_H-M_alt 'C 1 2/m 1'
_space_group_IT_number 12
loop_
_space_group_symop_operation_xyz
'x,y,z'
'-x,-y,-z'
'-x,y,-z'
'x,-y,z'
'x+1/2,y+1/2,z'
'-x+1/2,-y+1/2,-z'
'-x+1/2,y+1/2,-z'
'x+1/2,-y+1/2,z'
loop_
_atom_site_label
_atom_site_fract_x
_atom_site_fract_y
_atom_site_fract_z
Y1 0.000 0.000 0.000
Er1 0.000 0.308 0.500
Er2 0.000 0.500 0.000
Mg1 0.000 0.000 0.500
Mg2 0.193 0.257 0.191
Mg3 0.237 0.500 0.520
```

Most intense lines, 10 to 90 degrees two-theta, in order of falling intensity:
17.37 deg, d = 5.106 Å, I 100, (2 0 0); 30.64 deg, d = 2.918 Å, I 79, (2 0 -2); 26.28 deg, d = 3.391 Å, I 78, (2 2 -1); 32.05 deg, d = 2.792 Å, I 75, (2 2 1); 23.41 deg, d = 3.800 Å, I 64, (0 2 1); 12.32 deg, d = 7.185 Å, I 52, (1 1 0); 31.04 deg, d = 2.881 Å, I 36, (0 0 2); 35.15 deg, d = 2.553 Å, I 35, (4 0 0); 38.33 deg, d = 2.348 Å, I 32, (4 2 -1); 37.48 deg, d = 2.399 Å, I 31, (3 3 -1); 33.29 deg, d = 2.691 Å, I 29, (1 3 1); 63.79 deg, d = 1.459 Å, I 23, (4 0 -4)

[7]
The following is a calculated XRD peak list of YEr8Mg2. It was derived from a cell relaxed with PBE, using Cu Kα (weighted mean of Kα1 and Kα2).
No peak broadening, texture or thermal motion is included.

Structure:
```
data_YEr8Mg2
_chemical_formula_sum 'Y2 Er16 Mg4'
_cell_length_a 8.676
_cell_length_b 15.351
_cell_length_c 5.590
_cell_angle_alpha 90.00
_cell_angle_beta 115.60
_cell_angle_gamma 90.00
_space_group_name_H-M_alt 'C 1 2/m 1'
_space_group_IT_number 12
loop_
_space_group_symop_operation_xyz
'x,y,z'
'-x,-y,-z'
'-x,y,-z'
'x,-y,z'
'x+1/2,y+1/2,z'
'-x+1/2,-y+1/2,-z'
'-x+1/2,y+1/2,-z'
'x+1/2,-y+1/2,z'
loop_
_atom_site_label
_atom_site_fract_x
_atom_site_fract_y
_atom_site_fract_z
Y1 0.000 0.000 0.000
Er1 0.000 0.213 0.000
Er2 0.093 0.500 0.798
Er3 0.209 0.112 0.630
Mg1 0.000 0.307 0.500
```

Most intense lines, 10 to 90 degrees two-theta, in order of falling intensity:
31.62 deg, d = 2.830 Å, I 100, (3 1 -1); 33.51 deg, d = 2.674 Å, I 96, (1 5 -1); 32.69 deg, d = 2.740 Å, I 83, (2 4 0); 32.80 deg, d = 2.730 Å, I 80, (1 1 -2); 29.25 deg, d = 3.054 Å, I 77, (0 4 1); 34.57 deg, d = 2.595 Å, I 67, (2 0 1); 20.74 deg, d = 4.283 Å, I 52, (1 3 0); 30.42 deg, d = 2.939 Å, I 39, (1 3 1); 48.05 deg, d = 1.893 Å, I 29, (3 5 -2); 52.02 deg, d = 1.758 Å, I 28, (1 5 2); 64.09 deg, d = 1.453 Å, I 27, (1 9 -2); 24.84 deg, d = 3.584 Å, I 27, (2 2 -1)

[8]
The following is a calculated XRD peak list of Y3Er4Mg2. It was derived from a cell relaxed with PBE, using Cu Kα (weighted mean of Kα1 and Kα2).
No peak broadening, texture or thermal motion is included.

Structure:
```
data_Y3Er4Mg2
_chemical_formula_sum 'Y6 Er8 Mg4'
_cell_length_a 14.761
_cell_length_b 4.892
_cell_length_c 7.829
_cell_angle_alpha 90.00
_cell_angle_beta 108.72
_cell_angle_gamma 90.00
_space_group_name_H-M_alt 'C 1 2/m 1'
_space_group_IT_number 12
loop_
_space_group_symop_operation_xyz
'x,y,z'
'-x,-y,-z'
'-x,y,-z'
'x,-y,z'
'x+1/2,y+1/2,z'
'-x+1/2,-y+1/2,-z'
'-x+1/2,y+1/2,-z'
'x+1/2,-y+1/2,z'
loop_
_atom_site_label
_atom_site_fract_x
_atom_site_fract_y
_atom_site_fract_z
Y1 0.000 0.000 0.000
Y2 0.112 0.000 0.667
Er1 0.057 0.500 0.336
Er2 0.221 0.000 0.331
Mg1 0.169 0.500 0.999
```

Most intense lines, 10 to 90 degrees two-theta, in order of falling intensity:
31.43 deg, d = 2.846 Å, I 100, (3 1 -2); 31.58 deg, d = 2.833 Å, I 99, (3 1 1); 11.94 deg, d = 7.415 Å, I 38, (0 0 1); 52.66 deg, d = 1.738 Å, I 35, (0 2 3); 36.35 deg, d = 2.472 Å, I 34, (0 0 3); 36.53 deg, d = 2.460 Å, I 33, (6 0 -1); 36.74 deg, d = 2.446 Å, I 33, (0 2 0); 62.92 deg, d = 1.477 Å, I 28, (3 3 1); 62.51 deg, d = 1.486 Å, I 28, (9 1 -3); 26.39 deg, d = 3.378 Å, I 25, (3 1 0); 52.78 deg, d = 1.735 Å, I 23, (6 2 -1); 86.31 deg, d = 1.127 Å, I 17, (9 3 -3)

[9]
The following is a calculated XRD peak list of Y2Er3Mg2. It was derived from a cell relaxed with PBE, using Cu Kα (weighted mean of Kα1 and Kα2).
No peak broadening, texture or thermal motion is included.

Structure:
```
data_Y2Er3Mg2
_chemical_formula_sum 'Y4 Er6 Mg4'
_cell_length_a 3.660
_cell_length_b 31.621
_cell_length_c 3.570
_cell_angle_alpha 90.00
_cell_angle_beta 90.00
_cell_angle_gamma 90.00
_space_group_name_H-M_alt 'C m m m'
_space_group_IT_number 65
_space_group_name_Hall '-C 2 2'
loop_
_atom_site_label
_atom_site_fract_x
_atom_site_fract_y
_atom_site_fract_z
Y1 0.000 0.203 0.000
Er1 0.000 0.075 0.000
Er2 0.000 0.500 0.500
Mg1 0.000 0.361 0.500
```

Most intense lines, 10 to 90 degrees two-theta, in order of falling intensity:
31.46 deg, d = 2.844 Å, I 100, (1 7 0); 35.23 deg, d = 2.548 Å, I 89, (1 1 1); 33.83 deg, d = 2.649 Å, I 60, (0 8 1); 30.24 deg, d = 2.956 Å, I 50, (0 6 1); 56.58 deg, d = 1.627 Å, I 33, (1 15 1); 61.31 deg, d = 1.512 Å, I 29, (1 7 2); 28.20 deg, d = 3.165 Å, I 24, (0 10 0); 61.59 deg, d = 1.506 Å, I 22, (2 8 1); 39.91 deg, d = 2.259 Å, I 21, (0 14 0); 59.41 deg, d = 1.556 Å, I 21, (2 6 1); 49.84 deg, d = 1.830 Å, I 17, (2 0 0); 24.94 deg, d = 3.570 Å, I 16, (0 0 1)

[10]
The following is a calculated XRD peak list of YErMg5. It was derived from a cell relaxed with PBE, using Cu Kα (weighted mean of Kα1 and Kα2).
No peak broadening, texture or thermal motion is included.

Structure:
```
data_YErMg5
_chemical_formula_sum 'Y2 Er2 Mg10'
_cell_length_a 6.403
_cell_length_b 9.636
_cell_length_c 6.468
_cell_angle_alpha 90.00
_cell_angle_beta 90.00
_cell_angle_gamma 90.00
_space_group_name_H-M_alt 'C m m m'
_space_group_IT_number 65
_space_group_name_Hall '-C 2 2'
loop_
_atom_site_label
_atom_site_fract_x
_atom_site_fract_y
_atom_site_fract_z
Y1 0.000 0.000 0.000
Er1 0.000 0.500 0.500
Mg1 0.000 0.000 0.500
Mg2 0.250 0.250 0.252
```

Most intense lines, 10 to 90 degrees two-theta, in order of falling intensity:
21.60 deg, d = 4.115 Å, I 100, (1 1 1); 33.37 deg, d = 2.685 Å, I 47, (0 2 2); 33.61 deg, d = 2.667 Å, I 46, (2 2 0); 34.17 deg, d = 2.624 Å, I 31, (1 3 1); 39.61 deg, d = 2.275 Å, I 29, (2 0 2); 18.42 deg, d = 4.818 Å, I 21, (0 2 0); 55.56 deg, d = 1.654 Å, I 21, (2 4 2); 37.33 deg, d = 2.409 Å, I 17, (0 4 0); 45.37 deg, d = 1.999 Å, I 14, (1 1 3); 45.74 deg, d = 1.984 Å, I 14, (3 1 1); 13.69 deg, d = 6.468 Å, I 13, (0 0 1); 67.78 deg, d = 1.383 Å, I 11, (2 2 4)

[11]
The following is a calculated XRD peak list of ErMgZn17. It was derived from a cell relaxed with PBE, using Cu Kα (weighted mean of Kα1 and Kα2).
No peak broadening, texture or thermal motion is included.

Structure:
```
data_ErMgZn17
_chemical_formula_sum 'Er3 Mg3 Zn51'
_cell_length_a 8.9387
_cell_length_b 8.9387
_cell_length_c 13.1883
_cell_angle_alpha 90.00
_cell_angle_beta 90.00
_cell_angle_gamma 120.00
_space_group_name_H-M_alt 'R 3 m'
_space_group_IT_number 160
_space_group_name_Hall 'R 3 -2"'
loop_
_atom_site_label
_atom_site_fract_x
_atom_site_fract_y
_atom_site_fract_z
Er1 0.0000 0.0000 0.0000
Mg1 0.0000 0.0000 0.2978
Zn1 0.0000 0.0000 0.5555
Zn2 0.0000 0.0000 0.7615
Zn3 0.0063 0.5032 0.8151
Zn4 0.0322 0.3604 0.3309
Zn5 0.1704 0.3407 0.5015
Zn6 0.1717 0.3433 0.8424
```

Most intense lines, 10 to 90 degrees two-theta, in order of falling intensity:
40.54 deg, d = 2.225 Å, I 100, (0 3 3); 45.53 deg, d = 1.992 Å, I 61, (2 2 3); 40.36 deg, d = 2.235 Å, I 58, (2 2 0); 34.77 deg, d = 2.580 Å, I 37, (3 0 0); 41.06 deg, d = 2.198 Å, I 35, (0 0 6); 35.78 deg, d = 2.510 Å, I 30, (0 2 4); 73.39 deg, d = 1.290 Å, I 22, (6 0 0); 13.26 deg, d = 6.676 Å, I 22, (1 0 1); 74.46 deg, d = 1.274 Å, I 20, (0 3 9); 41.43 deg, d = 2.180 Å, I 20, (2 0 5); 66.24 deg, d = 1.411 Å, I 17, (3 3 3); 41.25 deg, d = 2.188 Å, I 16, (2 1 4)

[12]
The following is a calculated XRD peak list of Er2Mg3Zn3. It was derived from a cell relaxed with PBE, using Cu Kα (weighted mean of Kα1 and Kα2).
No peak broadening, texture or thermal motion is included.

Structure:
```
data_Er2Mg3Zn3
_chemical_formula_sum 'Er6 Mg9 Zn9'
_cell_length_a 4.8789
_cell_length_b 4.8789
_cell_length_c 23.9568
_cell_angle_alpha 90.00
_cell_angle_beta 90.00
_cell_angle_gamma 120.00
_space_group_name_H-M_alt 'R 3 m'
_space_group_IT_number 160
_space_group_name_Hall 'R 3 -2"'
loop_
_atom_site_label
_atom_site_fract_x
_atom_site_fract_y
_atom_site_fract_z
Er1 0.0000 0.0000 0.0000
Er2 0.0000 0.0000 0.4873
Mg1 0.0000 0.0000 0.2398
Mg2 0.0000 0.0000 0.6164
Mg3 0.0000 0.0000 0.7456
Zn1 0.0000 0.0000 0.1203
Zn2 0.0000 0.0000 0.3632
Zn3 0.0000 0.0000 0.8733
```

Most intense lines, 10 to 90 degrees two-theta, in order of falling intensity:
36.82 deg, d = 2.441 Å, I 100, (1 1 0); 22.30 deg, d = 3.987 Å, I 50, (0 1 2); 66.35 deg, d = 1.409 Å, I 26, (3 0 0); 43.47 deg, d = 2.082 Å, I 25, (2 0 2); 53.05 deg, d = 1.726 Å, I 17, (2 0 8); 89.89 deg, d = 1.091 Å, I 7, (3 1 8); 66.22 deg, d = 1.411 Å, I 7, (1 0 16); 25.80 deg, d = 3.453 Å, I 6, (1 0 4); 89.79 deg, d = 1.092 Å, I 6, (2 1 16); 58.29 deg, d = 1.583 Å, I 6, (1 2 2); 70.94 deg, d = 1.328 Å, I 6, (3 0 6); 78.40 deg, d = 1.220 Å, I 5, (2 2 0)